Simulated PXRD pattern
Compound: KCoAsO4
Radiation: λ = 1.5418 Å (Cu Kα)
Structure: a cell relaxed with GGA+U
Neutral-atom scattering factors, no anomalous dispersion.

Most intense lines, 10 to 90 degrees two-theta, by angle:
hkl, Position (°2θ), I (rel.)
0 0 1, 12.46, 100
0 1 1, 19.78, 62
1 0 1, 23.38, 71
0 1 2, 29.51, 35
1 1 -2, 30.63, 36
0 2 0, 30.89, 57
2 1 -1, 36.47, 32
1 1 2, 37.30, 50
2 1 -2, 40.01, 29
2 2 0, 46.46, 25

Atomic structure:
```
KCoAsO4
1.0
5.4836 0.0000 0.0000
0.0000 5.7900 0.0000
-1.8884 0.0000 7.1031
K Co As O
2 2 2 8
Direct
0.2161 0.2500 0.4345 K
0.7839 0.7500 0.5655 K
0.3439 0.2500 0.9751 Co
0.6561 0.7500 0.0249 Co
0.2389 0.7500 0.1740 As
0.7611 0.2500 0.8260 As
0.0064 0.2500 0.0264 O
0.1403 0.7500 0.3740 O
0.4558 0.5266 0.1703 O
0.4558 0.9734 0.1703 O
0.5442 0.0266 0.8297 O
0.5442 0.4734 0.8297 O
0.8597 0.2500 0.6260 O
0.9936 0.7500 0.9736 O
```